[1]
Calculated powder X-ray diffraction pattern of Th2Sc2Se7 for Cu Kα (λ = 1.5418 Å), from a structure optimized by DFT (GGA-PBE).

Largest 6 diffraction maxima, low angle first, 2θ = 5–70°:
2θ (°)	intensity
19.45	43
22.51	62
37.17	100
42.31	18
43.92	21
67.04	22

Cell and atoms:
abc: 4.8329 4.8329 13.7171
angles: 90.00 90.00 90.00
Element x y z (fractional)
Th 0.0000 0.5000 0.1462
Th 0.5000 0.0000 0.8538
Sc 0.0000 0.5000 0.6027
Sc 0.5000 0.0000 0.3973
Se 0.0000 0.0000 0.2433
Se 0.0000 0.0000 0.5000
Se 0.0000 0.0000 0.7567
Se 0.5000 0.5000 0.0000
Se 0.5000 0.5000 0.2662
Se 0.5000 0.5000 0.5000
Se 0.5000 0.5000 0.7338



[2]
Calculated powder X-ray diffraction pattern of Ce8FeCo2 for Cu Kα (λ = 1.5418 Å), from a structure optimized by DFT (GGA-PBE).

Largest 6 diffraction maxima, low angle first, 2θ = 5–70°:
2θ (°)	intensity
26.77	37
30.68	77
32.44	64
33.33	100
33.44	91
35.80	58

Cell and atoms:
abc: 6.9239 6.9239 6.0408
angles: 102.64 102.64 106.03
Element x y z (fractional)
Ce 0.0000 0.0000 0.0000
Ce 0.2319 0.2319 0.6021
Ce 0.2650 0.5154 0.1557
Ce 0.4303 0.7772 0.8079
Ce 0.5154 0.2650 0.1557
Ce 0.7114 0.9679 0.4495
Ce 0.7772 0.4303 0.8079
Ce 0.9679 0.7114 0.4495
Fe 0.6163 0.6163 0.6161
Co 0.3215 0.9102 0.2942
Co 0.9102 0.3215 0.2942